1.
# TmInRh2
Computed X-ray powder pattern, λ = 1.5418 Å (Cu Kα). Input: the GGA-PBE geometry in the Materials Project.
Neutral-atom scattering factors, no anomalous dispersion.

Atomic structure:
Unit cell a=4.6713 b=4.6713 c=4.6713 alpha=60.00 beta=60.00 gamma=60.00
Atoms (fractional coordinates):
Tm (0.0000, 0.0000, 0.0000)
In (0.5000, 0.5000, 0.5000)
Rh (0.2500, 0.2500, 0.2500)
Rh (0.7500, 0.7500, 0.7500)

Principal peaks in the range 2θ from 15° to 90°, by angle:
| 2theta | d_spacing | I (rel.) |
| --- | --- | --- |
| 23.32 | 3.814 | 2 |
| 26.99 | 3.303 | 3 |
| 38.55 | 2.336 | 100 |
| 45.54 | 1.992 | 1 |
| 47.69 | 1.907 | 1 |
| 55.65 | 1.652 | 17 |
| 61.15 | 1.516 | 1 |
| 62.92 | 1.477 | 1 |
| 69.74 | 1.348 | 34 |
| 82.62 | 1.168 | 11 |
| 87.32 | 1.117 | 1 |
| 88.88 | 1.101 | 1 |

=====

2.
# Tm4InRh
Computed X-ray powder pattern, λ = 1.5418 Å (Cu Kα). Input: the GGA-PBE geometry in the Materials Project.
Neutral-atom scattering factors, no anomalous dispersion.

Atomic structure:
Unit cell a=9.5397 b=9.5397 c=9.5397 alpha=60.00 beta=60.00 gamma=60.00
Atoms (fractional coordinates):
Tm (0.0611, 0.0611, 0.4389)
Tm (0.0611, 0.4389, 0.0611)
Tm (0.0611, 0.4389, 0.4389)
Tm (0.1883, 0.1883, 0.8117)
Tm (0.1883, 0.8117, 0.1883)
Tm (0.1883, 0.8117, 0.8117)
Tm (0.2008, 0.5997, 0.5997)
Tm (0.4389, 0.0611, 0.0611)
Tm (0.4389, 0.0611, 0.4389)
Tm (0.4389, 0.4389, 0.0611)
Tm (0.5997, 0.2008, 0.5997)
Tm (0.5997, 0.5997, 0.2008)
Tm (0.5997, 0.5997, 0.5997)
Tm (0.8117, 0.1883, 0.1883)
Tm (0.8117, 0.1883, 0.8117)
Tm (0.8117, 0.8117, 0.1883)
In (0.5000, 0.8333, 0.8333)
In (0.8333, 0.5000, 0.8333)
In (0.8333, 0.8333, 0.5000)
In (0.8333, 0.8333, 0.8333)
Rh (0.3926, 0.3926, 0.3926)
Rh (0.3926, 0.3926, 0.8222)
Rh (0.3926, 0.8222, 0.3926)
Rh (0.8222, 0.3926, 0.3926)

Principal peaks in the range 2θ from 15° to 90°, by angle:
| 2theta | d_spacing | I (rel.) |
| --- | --- | --- |
| 28.85 | 3.095 | 27 |
| 32.51 | 2.754 | 52 |
| 34.55 | 2.596 | 100 |
| 37.72 | 2.385 | 32 |
| 52.07 | 1.756 | 10 |
| 55.77 | 1.648 | 10 |
| 58.01 | 1.590 | 47 |
| 59.32 | 1.558 | 13 |
| 69.30 | 1.356 | 15 |
| 72.47 | 1.304 | 10 |
| 87.71 | 1.113 | 15 |
| 89.58 | 1.094 | 15 |

=====

3.
# UInRh
Computed X-ray powder pattern, λ = 1.5418 Å (Cu Kα). Input: the GGA-PBE geometry in the Materials Project.
Neutral-atom scattering factors, no anomalous dispersion.

Atomic structure:
Unit cell a=7.2462 b=7.2462 c=4.1644 alpha=90.00 beta=90.00 gamma=120.00
Atoms (fractional coordinates):
U (0.0000, 0.5820, 0.0000)
U (0.4180, 0.4180, 0.0000)
U (0.5820, 0.0000, 0.0000)
In (0.0000, 0.2467, 0.5000)
In (0.2467, 0.0000, 0.5000)
In (0.7533, 0.7533, 0.5000)
Rh (0.0000, 0.0000, 0.0000)
Rh (0.3333, 0.6667, 0.5000)
Rh (0.6667, 0.3333, 0.5000)

Principal peaks in the range 2θ from 15° to 90°, by angle:
| 2theta | d_spacing | I (rel.) |
| --- | --- | --- |
| 28.45 | 3.138 | 17 |
| 32.76 | 2.733 | 100 |
| 35.83 | 2.506 | 100 |
| 37.93 | 2.372 | 47 |
| 43.25 | 2.092 | 19 |
| 43.46 | 2.082 | 28 |
| 52.58 | 1.740 | 18 |
| 57.38 | 1.606 | 30 |
| 59.03 | 1.565 | 26 |
| 62.99 | 1.476 | 12 |
| 69.02 | 1.361 | 23 |
| 70.52 | 1.335 | 15 |